Entry 1:
Calculated X-ray powder pattern of Pm7NdGe2 for CuKα, from a cell relaxed with PBE.

The 10 most intense peaks (2θ from 10° to 90°), in order of falling intensity:
Position (°2θ), d_spacing, I (rel.), index
26.1, 3.412, 100.0, 1 3 1
31.4, 2.851, 80.8, 0 0 2
31.8, 2.817, 63.2, 2 4 0
34.6, 2.593, 57.4, 3 1 1
15.5, 5.702, 50.7, 0 0 1
29.1, 3.066, 47.7, 0 4 1
45.2, 2.004, 47.5, 2 4 2
25.4, 3.511, 44.4, 2 0 1
35.4, 2.533, 41.2, 3 3 0
48.0, 1.894, 34.8, 3 3 2

Structure:
abc: 8.913 14.545 5.702
angles: 90.00 90.00 90.00
Space group Cmmm (No. 65)
One atom of each set of equivalent atoms:
Pm: 0.000 0.000 0.000
Pm: 0.000 0.204 0.500
Pm: 0.183 0.368 0.000
Nd: 0.000 0.500 0.500
Ge: 0.000 0.200 0.000

***

Entry 2:
Calculated X-ray powder pattern of YZn11Pd for CuKα, from a cell relaxed with PBE.

The 10 most intense peaks (2θ from 10° to 90°), in order of falling intensity:
Position (°2θ), d_spacing, I (rel.), index
40.6, 2.223, 100.0, 0 4 2
40.3, 2.237, 66.9, 1 5 0
40.2, 2.245, 51.5, 2 2 -2
45.6, 1.989, 48.8, 0 6 1
39.9, 2.261, 47.1, 2 2 0
45.1, 2.011, 41.4, 2 4 -1
45.4, 1.999, 31.6, 2 0 -3
34.9, 2.570, 29.8, 1 3 -2
44.9, 2.020, 22.5, 2 0 1
73.7, 1.285, 21.4, 2 6 -4

Structure:
abc: 5.226 12.596 6.778
angles: 90.00 112.03 90.00
Space group C2/m (No. 12)
One atom of each set of equivalent atoms:
Y: 0.000 0.000 0.000
Zn: 0.000 0.500 0.500
Zn: 0.105 0.391 0.215
Zn: 0.167 0.176 0.354
Zn: 0.250 0.250 0.000
Pd: 0.000 0.000 0.500

***

Entry 3:
Calculated X-ray powder pattern of NaLi6Cd3 for CuKα, from a cell relaxed with PBE.

The 10 most intense peaks (2θ from 10° to 90°), in order of falling intensity:
Position (°2θ), d_spacing, I (rel.), index
13.8, 6.421, 100.0, 0 2 0
20.3, 4.370, 53.2, 0 2 1
26.4, 3.382, 53.2, 2 2 1
37.3, 2.413, 50.8, 2 2 2
26.0, 3.431, 50.7, 3 1 0
35.9, 2.498, 45.4, 2 4 1
31.6, 2.827, 43.0, 0 4 1
34.4, 2.603, 42.8, 2 0 2
31.9, 2.803, 30.5, 1 1 2
21.6, 4.106, 28.0, 2 2 0

Structure:
abc: 10.680 12.843 5.964
angles: 90.00 90.00 90.00
Space group Cmc2_1 (No. 36)
One atom of each set of equivalent atoms:
Na: 0.000 0.199 0.000
Li: 0.000 0.003 0.738
Li: 0.000 0.199 0.496
Li: 0.125 0.395 0.312
Li: 0.228 0.288 0.686
Cd: 0.000 0.408 0.747
Cd: 0.213 0.051 0.482